The following is a calculated XRD peak list of TaVN2O. It was derived from a structure optimized by DFT (GGA+U), using λ = 1.5418 Å (Cu Kα).
Lines closer than 0.1° are merged.

The 12 most intense peaks (15° ≤ 2θ ≤ 90°), low angle first:
index  2θ/deg  I_rel
1 0 0  21.8  61
0 0 1  23.2  24
1 1 0  31.0  58
1 0 1  32.0  100
2 0 0  44.3  33
0 0 2  47.3  13
2 1 0  49.9  14
2 0 1  50.6  12
1 0 2  52.7  12
2 1 1  55.7  42
1 1 2  57.6  20
2 0 2  66.9  18

Structure:
```
5
Lattice="4.086 0.000 0.000 0.000 4.086 0.000 0.000 0.000 3.840" Properties=species:S:1:pos:R:3 pbc="T T T"
Ta 0.000 0.000 0.000
V 2.043 2.043 1.920
N 0.000 2.043 0.000
N 2.043 0.000 0.000
O 0.000 0.000 1.920
```